1.
Calculated PXRD pattern
Compound: Li4V3OF11
Radiation: a wavelength of 1.5418 Å
Structure: a crystal structure in the Materials Project, relaxed with GGA+U

Atomic structure:
Unit cell a=5.2498 b=5.4803 c=16.1487 alpha=80.84 beta=89.61 gamma=88.13
Space group P1 (No. 1)
Symmetry-distinct sites (fractional):
Li  0.0000  0.0000  0.0000 (multiplicity 1)
Li  0.0341  0.5226  0.1252 (multiplicity 1)
Li  0.2620  0.6296  0.3733 (multiplicity 1)
Li  0.3537  0.4989  0.7107 (multiplicity 1)
Li  0.5105  0.0802  0.1204 (multiplicity 1)
Li  0.5667  0.5382  0.9967 (multiplicity 1)
Li  0.8037  0.1608  0.3989 (multiplicity 1)
Li  0.8618  0.9267  0.7276 (multiplicity 1)
V  0.0177  0.9714  0.2227 (multiplicity 1)
V  0.0221  0.3046  0.5557 (multiplicity 1)
V  0.0249  0.6207  0.8892 (multiplicity 1)
V  0.5162  0.1284  0.8890 (multiplicity 1)
V  0.5196  0.4645  0.2237 (multiplicity 1)
V  0.5228  0.8049  0.5524 (multiplicity 1)
O  0.2434  0.6586  0.2368 (multiplicity 1)
O  0.8006  0.2756  0.1948 (multiplicity 1)
F  0.1011  0.3485  0.4362 (multiplicity 1)
F  0.1103  0.6697  0.7645 (multiplicity 1)
F  0.1501  0.0125  0.1050 (multiplicity 1)
F  0.1927  0.2719  0.9317 (multiplicity 1)
F  0.2084  0.9834  0.5766 (multiplicity 1)
F  0.3324  0.4832  0.5885 (multiplicity 1)
F  0.3334  0.1529  0.2478 (multiplicity 1)
F  0.3533  0.8051  0.9292 (multiplicity 1)
F  0.3996  0.4671  0.1027 (multiplicity 1)
F  0.4259  0.1814  0.7746 (multiplicity 1)
F  0.4352  0.8330  0.4372 (multiplicity 1)
F  0.6061  0.4342  0.3399 (multiplicity 1)
F  0.6082  0.7634  0.6714 (multiplicity 1)
F  0.6502  0.1154  0.0072 (multiplicity 1)
F  0.6685  0.4577  0.8779 (multiplicity 1)
F  0.7163  0.1241  0.5193 (multiplicity 1)
F  0.7222  0.7769  0.1815 (multiplicity 1)
F  0.8409  0.6271  0.5325 (multiplicity 1)
F  0.8437  0.9688  0.8572 (multiplicity 1)
F  0.9051  0.6408  0.0145 (multiplicity 1)
F  0.9233  0.2478  0.6705 (multiplicity 1)
F  0.9425  0.9068  0.3403 (multiplicity 1)

Peak list (10 most intense, 5° ≤ 2θ ≤ 70°, in order of rising 2θ)
2θ 16.68, I 100, (0 0 3); 2θ 24.53, I 43, (1 1 -1); 2θ 24.63, I 41, (1 1 2); 2θ 25.25, I 43, (1 -1 1); 2θ 25.38, I 40, (-1 1 2); 2θ 32.70, I 21, (0 2 1); 2θ 33.73, I 19, (0 0 6); 2θ 37.96, I 20, (1 0 -6); 2θ 48.85, I 16, (-2 2 1); 2θ 49.10, I 20, (1 1 8)

---

2.
Calculated PXRD pattern
Compound: Cs2CoSiO4
Radiation: a wavelength of 1.5418 Å
Structure: a crystal structure in the Materials Project, relaxed with GGA+U

Atomic structure:
Unit cell a=5.8883 b=12.8392 c=8.2329 alpha=90.00 beta=90.00 gamma=90.00
Space group Cmc2_1 (No. 36)
Symmetry-distinct sites (fractional):
Cs  0.0000  0.0766  0.0000 (multiplicity 4)
Cs  0.0000  0.4056  0.1436 (multiplicity 4)
Co  0.0000  0.2070  0.4206 (multiplicity 4)
Si  0.0000  0.3014  0.7055 (multiplicity 4)
O  0.0000  0.1739  0.6642 (multiplicity 4)
O  0.0000  0.3534  0.5194 (multiplicity 4)
O  0.2281  0.3391  0.8065 (multiplicity 8)

Peak list (10 most intense, 5° ≤ 2θ ≤ 70°, in order of rising 2θ)
2θ 27.33, I 53, (1 1 2); 2θ 27.96, I 100, (1 3 1); 2θ 29.88, I 20, (0 4 1); 2θ 30.36, I 36, (2 0 0); 2θ 35.58, I 25, (0 2 3); 2θ 47.33, I 18, (1 1 4); 2θ 47.45, I 14, (2 2 3); 2θ 52.48, I 17, (3 3 1); 2θ 53.87, I 13, (2 4 3); 2θ 59.68, I 12, (1 5 4)

---

3.
Calculated PXRD pattern
Compound: Mo2P3O12
Radiation: a wavelength of 1.5418 Å
Structure: a crystal structure in the Materials Project, relaxed with GGA+U

Atomic structure:
Unit cell a=15.2929 b=8.7603 c=9.0243 alpha=90.00 beta=124.66 gamma=90.00
Space group C2 (No. 5)
Symmetry-distinct sites (fractional):
Mo  0.1069  0.9999  0.3227 (multiplicity 4)
Mo  0.1090  0.5000  0.8247 (multiplicity 4)
P  0.0000  0.7145  0.0000 (multiplicity 2)
P  0.0000  0.7867  0.5000 (multiplicity 2)
P  0.1425  0.1425  0.0005 (multiplicity 4)
P  0.1428  0.3598  0.4983 (multiplicity 4)
O  0.0440  0.0730  0.8295 (multiplicity 4)
O  0.0468  0.4334  0.3297 (multiplicity 4)
O  0.0646  0.8220  0.1692 (multiplicity 4)
O  0.0687  0.6879  0.6689 (multiplicity 4)
O  0.0761  0.8880  0.4816 (multiplicity 4)
O  0.0807  0.6232  0.9914 (multiplicity 4)
O  0.1418  0.1831  0.4626 (multiplicity 4)
O  0.1419  0.3173  0.9838 (multiplicity 4)
O  0.1445  0.3753  0.6673 (multiplicity 4)
O  0.1450  0.1067  0.1701 (multiplicity 4)
O  0.2405  0.0742  0.0178 (multiplicity 4)
O  0.2442  0.4204  0.5197 (multiplicity 4)

Peak list (10 most intense, 5° ≤ 2θ ≤ 70°, in order of rising 2θ)
2θ 14.09, I 67, (2 0 0); 2θ 19.68, I 53, (2 0 -2); 2θ 19.79, I 100, (1 1 1); 2θ 20.15, I 70, (3 1 -1); 2θ 20.27, I 34, (0 2 0); 2θ 23.48, I 67, (3 1 0); 2θ 23.58, I 34, (0 2 1); 2θ 28.40, I 98, (4 0 0); 2θ 31.59, I 45, (0 2 2); 2θ 35.18, I 42, (6 0 -2)

---

4.
Calculated PXRD pattern
Compound: MgW2O4F4
Radiation: a wavelength of 1.5418 Å
Structure: a crystal structure in the Materials Project, relaxed with GGA+U

Atomic structure:
Unit cell a=3.8552 b=6.7111 c=7.7812 alpha=90.00 beta=90.04 gamma=90.00
Space group Pm (No. 6)
Symmetry-distinct sites (fractional):
Mg  0.0000  0.0000  0.0000 (multiplicity 1)
W  0.5710  0.5000  0.0031 (multiplicity 1)
W  0.5710  0.5000  0.5032 (multiplicity 1)
O  0.0686  0.5000  0.5028 (multiplicity 1)
O  0.0710  0.5000  0.0021 (multiplicity 1)
O  0.5703  0.5000  0.7462 (multiplicity 1)
O  0.5708  0.5000  0.2598 (multiplicity 1)
F  0.5651  0.2122  0.5038 (multiplicity 2)
F  0.5756  0.1782  0.0019 (multiplicity 2)

Peak list (10 most intense, 5° ≤ 2θ ≤ 70°, in order of rising 2θ)
2θ 13.19, I 100, (0 1 0); 2θ 22.86, I 44, (0 0 2); 2θ 23.07, I 34, (1 0 0); 2θ 26.52, I 48, (0 2 0); 2θ 26.67, I 35, (1 1 0); 2θ 32.70, I 20, (1 0 2); 2θ 35.37, I 36, (0 2 2); 2θ 52.84, I 12, (1 3 -2); 2θ 54.56, I 16, (0 2 4); 2θ 54.91, I 13, (2 2 0)

---

5.
Calculated PXRD pattern
Compound: Cr2P4Pb3O16
Radiation: a wavelength of 1.5418 Å
Structure: a crystal structure in the Materials Project, relaxed with GGA+U

Atomic structure:
Unit cell a=9.0907 b=9.1384 c=9.4217 alpha=90.00 beta=116.90 gamma=90.00
Space group P2_1/c (No. 14)
Symmetry-distinct sites (fractional):
Cr  0.2480  0.1312  0.2454 (multiplicity 4)
P  0.0191  0.1388  0.8451 (multiplicity 4)
P  0.4245  0.0890  0.6415 (multiplicity 4)
Pb  0.0000  0.0000  0.5000 (multiplicity 2)
Pb  0.3005  0.7081  0.5310 (multiplicity 4)
O  0.0795  0.5046  0.7563 (multiplicity 4)
O  0.0926  0.2056  0.7380 (multiplicity 4)
O  0.0999  0.7476  0.6332 (multiplicity 4)
O  0.1572  0.0911  0.0084 (multiplicity 4)
O  0.3123  0.5416  0.1293 (multiplicity 4)
O  0.3896  0.5455  0.7584 (multiplicity 4)
O  0.3917  0.1501  0.4784 (multiplicity 4)
O  0.4106  0.2161  0.7455 (multiplicity 4)

Peak list (10 most intense, 5° ≤ 2θ ≤ 70°, in order of rising 2θ)
2θ 14.61, I 83, (1 1 0); 2θ 21.26, I 100, (1 1 -2); 2θ 27.69, I 56, (2 2 -1); 2θ 29.46, I 67, (2 2 0); 2θ 29.69, I 68, (1 1 2); 2θ 29.94, I 63, (2 2 -2); 2θ 30.14, I 55, (3 0 -2); 2θ 31.23, I 70, (0 3 1); 2θ 31.38, I 49, (1 3 0); 2θ 31.75, I 47, (3 1 -2)

---

6.
Calculated PXRD pattern
Compound: LiMnO2
Radiation: a wavelength of 1.5418 Å
Structure: a crystal structure in the Materials Project, relaxed with GGA+U

Atomic structure:
Unit cell a=2.8584 b=3.0969 c=5.1211 alpha=78.61 beta=73.95 gamma=62.75
Space group P-1 (No. 2)
Symmetry-distinct sites (fractional):
Li  0.0000  0.0000  0.0000 (multiplicity 1)
Mn  0.5000  0.5000  0.5000 (multiplicity 1)
O  0.2277  0.2768  0.2683 (multiplicity 2)

Peak list (10 most intense, 5° ≤ 2θ ≤ 70°, in order of rising 2θ)
2θ 18.09, I 100, (0 0 1); 2θ 32.64, I 24, (0 1 0); 2θ 36.18, I 16, (1 0 0); 2θ 36.34, I 12, (1 1 1); 2θ 38.92, I 39, (0 1 -1); 2θ 44.27, I 25, (1 0 -1); 2θ 44.47, I 25, (1 1 2); 2θ 46.14, I 12, (1 1 -1); 2θ 60.80, I 17, (1 0 3); 2θ 65.27, I 10, (2 1 1)